# Li8Sm7Ge10
Calculated powder XRD pattern, Cu Ka. Input: a DFT-relaxed cell (GGA-PBE, OQMD).

Most intense lines, 10° ≤ 2θ ≤ 80°, low angle first:
d 3.894, 22.8°, rel. 18; d 3.419, 26.1°, rel. 27; d 2.758, 32.5°, rel. 20; d 2.660, 33.7°, rel. 72; d 2.607, 34.4°, rel. 100; d 2.191, 41.2°, rel. 27; d 2.054, 44.1°, rel. 18; d 1.844, 49.4°, rel. 17

Structural model:
```
Li8Sm7Ge10
1.0
3.419 -16.580 0.000
3.419 16.580 0.000
0.000 0.000 4.381
Li Sm Ge
8 7 10
Cartesian
1.287 4.739 0.000
2.113 2.488 2.191
1.287 -4.739 0.000
2.113 -2.488 2.191
4.725 2.488 2.191
5.551 4.739 0.000
4.725 -2.488 2.191
5.551 -4.739 0.000
3.419 14.688 0.000
3.419 9.259 2.191
3.419 5.341 2.191
3.419 0.000 0.000
3.419 -5.341 2.191
3.419 -9.259 2.191
3.419 -14.688 0.000
2.161 7.127 0.000
3.419 12.385 2.191
1.276 0.000 2.191
3.419 3.113 0.000
4.677 7.127 0.000
2.161 -7.127 0.000
3.419 -3.113 0.000
5.562 0.000 2.191
3.419 -12.385 2.191
4.677 -7.127 0.000
```